No. 1
This entry pairs a crystal structure of MnIrO4 with its calculated powder XRD pattern. Radiation: Cu Kα, 1.54184 Å. Structure: a GGA+U-relaxed structure.
Peak positions follow from Bragg's law for the DFT cell and can differ from measured ones.

Most intense lines, 5° ≤ 2θ ≤ 70°, by intensity:
2θ (°)	I/Imax	hkl
27.8	100	1 1 -1
34.3	45	1 1 1
16.9	45	1 0 0
26.1	34	0 1 1
34.1	23	2 0 0
39.7	23	2 0 -2
34.5	22	0 0 2
53.2	17	3 1 -1

Crystal structure
```
data_MnIrO4
_space_group_name_H-M_alt 'P 1 21/c 1'
_space_group_IT_number 14
_space_group_name_Hall '-P 2ybc'
_cell_length_a 5.583
_cell_length_b 4.540
_cell_length_c 5.515
_cell_angle_alpha 90.00
_cell_angle_beta 109.54
_cell_angle_gamma 90.00
loop_
_atom_site_label
_atom_site_fract_x
_atom_site_fract_y
_atom_site_fract_z
Mn1 0.000 0.000 0.000
Ir1 0.500 0.000 0.500
O1 0.159 0.187 0.361
O2 0.358 0.708 0.668
```

***

No. 2
This entry pairs a crystal structure of TiMnIrO6 with its calculated powder XRD pattern. Radiation: Cu Kα, 1.54184 Å. Structure: a GGA+U-relaxed structure.
Peak positions follow from Bragg's law for the DFT cell and can differ from measured ones.

Most intense lines, 5° ≤ 2θ ≤ 70°, by intensity:
2θ (°)	I/Imax	hkl
28.3	100	1 0 2
22.6	82	1 0 1
54.2	57	1 1 4
35.6	52	1 1 0
19.5	48	0 0 2
40.9	46	1 1 2
36.0	26	1 0 3
46.0	25	2 0 2

Crystal structure
```
data_TiMnIrO6
_space_group_name_H-M_alt 'P -3 1 c'
_space_group_IT_number 163
_space_group_name_Hall '-P 3 2c'
_cell_length_a 5.0481
_cell_length_b 5.0481
_cell_length_c 9.1228
_cell_angle_alpha 90.00
_cell_angle_beta 90.00
_cell_angle_gamma 120.00
loop_
_atom_site_label
_atom_site_fract_x
_atom_site_fract_y
_atom_site_fract_z
Ti1 0.3333 0.6667 0.2500
Mn1 0.0000 0.0000 0.0000
Ir1 0.3333 0.6667 0.7500
O1 0.0007 0.3474 0.6318
```